No. 1
The following is a computed PXRD pattern of Li9Mn2Co5O16. It was derived from a DFT-relaxed cell (GGA+U, the Materials Project), using copper Kα.

Cell and atoms:
abc: 5.741 5.828 9.776
angles: 91.04 98.49 119.20
Space group P1 (No. 1)
Asymmetric unit:
Li: 0.000 0.000 0.000 (multiplicity 1)
Li: 0.000 0.485 0.995 (multiplicity 1)
Li: 0.004 0.239 0.530 (multiplicity 1)
Li: 0.012 0.754 0.528 (multiplicity 1)
Li: 0.503 0.496 0.000 (multiplicity 1)
Li: 0.515 0.241 0.532 (multiplicity 1)
Li: 0.516 0.003 0.993 (multiplicity 1)
Li: 0.521 0.759 0.525 (multiplicity 1)
Li: 0.759 0.123 0.762 (multiplicity 1)
Mn: 0.258 0.873 0.263 (multiplicity 1)
Mn: 0.759 0.374 0.264 (multiplicity 1)
Co: 0.257 0.622 0.762 (multiplicity 1)
Co: 0.258 0.374 0.263 (multiplicity 1)
Co: 0.259 0.123 0.764 (multiplicity 1)
Co: 0.758 0.873 0.262 (multiplicity 1)
Co: 0.759 0.624 0.764 (multiplicity 1)
O: 0.128 0.063 0.368 (multiplicity 1)
O: 0.133 0.566 0.370 (multiplicity 1)
O: 0.142 0.831 0.878 (multiplicity 1)
O: 0.145 0.305 0.877 (multiplicity 1)
O: 0.371 0.942 0.650 (multiplicity 1)
O: 0.376 0.415 0.647 (multiplicity 1)
O: 0.386 0.182 0.158 (multiplicity 1)
O: 0.386 0.683 0.157 (multiplicity 1)
O: 0.612 0.305 0.877 (multiplicity 1)
O: 0.614 0.031 0.380 (multiplicity 1)
O: 0.621 0.791 0.879 (multiplicity 1)
O: 0.629 0.566 0.368 (multiplicity 1)
O: 0.887 0.184 0.157 (multiplicity 1)
O: 0.894 0.454 0.646 (multiplicity 1)
O: 0.905 0.716 0.148 (multiplicity 1)
O: 0.908 0.943 0.651 (multiplicity 1)

The 10 most intense peaks (2θ = 15–90°), in order of rising 2θ:
2θ 18.5, rel. 100.0, (0 0 2); 2θ 35.7, rel. 14.1, (0 2 -1); 2θ 36.4, rel. 12.4, (2 0 0); 2θ 36.6, rel. 12.3, (-2 2 1); 2θ 43.2, rel. 27.5, (0 2 -3); 2θ 44.2, rel. 25.7, (2 0 2); 2θ 44.3, rel. 25.4, (-2 2 3); 2θ 48.1, rel. 8.1, (2 -2 3); 2θ 63.6, rel. 7.5, (2 2 -1); 2θ 63.9, rel. 7.1, (2 -4 0)



No. 2
The following is a computed PXRD pattern of Sr10Mn5Zn9As10O10. It was derived from a DFT-relaxed cell (GGA+U, the Materials Project), using copper Kα.

Cell and atoms:
abc: 9.057 9.417 11.901
angles: 97.34 108.71 102.77
Space group P1 (No. 1)
Asymmetric unit:
Sr: 0.000 0.000 0.000 (multiplicity 1)
Sr: 0.010 0.637 0.432 (multiplicity 1)
Sr: 0.025 0.277 0.209 (multiplicity 1)
Sr: 0.057 0.753 0.769 (multiplicity 1)
Sr: 0.213 0.457 0.875 (multiplicity 1)
Sr: 0.238 0.033 0.585 (multiplicity 1)
Sr: 0.564 0.338 0.411 (multiplicity 1)
Sr: 0.608 0.990 0.028 (multiplicity 1)
Sr: 0.682 0.109 0.769 (multiplicity 1)
Sr: 0.696 0.818 0.315 (multiplicity 1)
Mn: 0.029 0.897 0.261 (multiplicity 1)
Mn: 0.368 0.484 0.181 (multiplicity 1)
Mn: 0.390 0.781 0.737 (multiplicity 1)
Mn: 0.756 0.444 0.726 (multiplicity 1)
Mn: 0.917 0.392 0.976 (multiplicity 1)
Zn: 0.182 0.384 0.546 (multiplicity 1)
Zn: 0.236 0.705 0.257 (multiplicity 1)
Zn: 0.335 0.975 0.237 (multiplicity 1)
Zn: 0.336 0.137 0.889 (multiplicity 1)
Zn: 0.448 0.456 0.703 (multiplicity 1)
Zn: 0.517 0.748 0.543 (multiplicity 1)
Zn: 0.647 0.472 0.134 (multiplicity 1)
Zn: 0.757 0.624 0.939 (multiplicity 1)
Zn: 0.860 0.098 0.569 (multiplicity 1)
As: 0.042 0.090 0.768 (multiplicity 1)
As: 0.311 0.531 0.400 (multiplicity 1)
As: 0.368 0.743 0.107 (multiplicity 1)
As: 0.383 0.184 0.126 (multiplicity 1)
As: 0.553 0.985 0.484 (multiplicity 1)
As: 0.563 0.373 0.911 (multiplicity 1)
As: 0.676 0.743 0.767 (multiplicity 1)
As: 0.890 0.248 0.418 (multiplicity 1)
As: 0.925 0.623 0.147 (multiplicity 1)
As: 0.926 0.436 0.602 (multiplicity 1)
O: 0.148 0.404 0.071 (multiplicity 1)
O: 0.190 0.783 0.625 (multiplicity 1)
O: 0.321 0.708 0.851 (multiplicity 1)
O: 0.448 0.004 0.816 (multiplicity 1)
O: 0.554 0.325 0.620 (multiplicity 1)
O: 0.605 0.539 0.281 (multiplicity 1)
O: 0.840 0.184 0.992 (multiplicity 1)
O: 0.894 0.999 0.167 (multiplicity 1)
O: 0.951 0.528 0.866 (multiplicity 1)
O: 0.996 0.884 0.409 (multiplicity 1)

The 10 most intense peaks (2θ = 15–90°), in order of rising 2θ:
2θ 28.8, rel. 48.2, (1 2 1); 2θ 29.2, rel. 59.1, (0 3 -1); 2θ 30.5, rel. 47.3, (-3 1 2); 2θ 30.7, rel. 81.1, (3 0 -2); 2θ 31.7, rel. 47.7, (2 -3 0); 2θ 31.9, rel. 100.0, (2 0 -4); 2θ 33.2, rel. 48.7, (3 -2 0); 2θ 38.3, rel. 52.1, (1 0 -5); 2θ 39.4, rel. 66.5, (0 3 -4); 2θ 40.0, rel. 47.3, (1 3 -4)



No. 3
The following is a computed PXRD pattern of Ba2YMgMn2TlO7. It was derived from a DFT-relaxed cell (GGA+U, the Materials Project), using copper Kα.

Cell and atoms:
abc: 3.983 3.983 14.855
angles: 90.00 90.00 90.00
Space group P4/mmm (No. 123)
Asymmetric unit:
Ba: 0.000 0.000 0.168 (multiplicity 2)
Y: 0.000 0.000 0.500 (multiplicity 1)
Mg: 0.500 0.500 0.500 (multiplicity 1)
Mn: 0.500 0.500 0.332 (multiplicity 2)
Tl: 0.500 0.500 0.000 (multiplicity 1)
O: 0.000 0.000 0.000 (multiplicity 1)
O: 0.000 0.500 0.412 (multiplicity 4)
O: 0.500 0.500 0.198 (multiplicity 2)

The 10 most intense peaks (2θ = 15–90°), in order of rising 2θ:
2θ 28.8, rel. 100.0, (1 0 3); 2θ 31.8, rel. 49.8, (1 1 0); 2θ 36.3, rel. 16.4, (0 0 6); 2θ 45.5, rel. 25.3, (2 0 0); 2θ 49.0, rel. 38.5, (1 1 6); 2θ 54.8, rel. 33.2, (2 1 3); 2θ 59.6, rel. 15.9, (2 0 6); 2θ 60.7, rel. 13.3, (1 0 9); 2θ 79.1, rel. 12.4, (2 1 9); 2θ 86.7, rel. 14.2, (3 1 6)



No. 4
The following is a computed PXRD pattern of Na4Ni7O16. It was derived from a DFT-relaxed cell (GGA+U, the Materials Project), using copper Kα.

Cell and atoms:
abc: 7.097 7.142 7.514
angles: 68.72 77.42 63.50
Space group P1 (No. 1)
Asymmetric unit:
Na: 0.000 0.000 0.000 (multiplicity 1)
Na: 0.125 0.888 0.434 (multiplicity 1)
Na: 0.345 0.173 0.451 (multiplicity 1)
Na: 0.561 0.437 0.518 (multiplicity 1)
Ni: 0.087 0.416 0.707 (multiplicity 1)
Ni: 0.215 0.295 0.075 (multiplicity 1)
Ni: 0.464 0.035 0.836 (multiplicity 1)
Ni: 0.587 0.912 0.207 (multiplicity 1)
Ni: 0.713 0.785 0.585 (multiplicity 1)
Ni: 0.835 0.660 0.959 (multiplicity 1)
Ni: 0.963 0.545 0.328 (multiplicity 1)
O: 0.069 0.263 0.311 (multiplicity 1)
O: 0.079 0.596 0.072 (multiplicity 1)
O: 0.185 0.512 0.452 (multiplicity 1)
O: 0.209 0.115 0.743 (multiplicity 1)
O: 0.335 0.994 0.095 (multiplicity 1)
O: 0.337 0.337 0.816 (multiplicity 1)
O: 0.473 0.212 0.160 (multiplicity 1)
O: 0.489 0.825 0.461 (multiplicity 1)
O: 0.592 0.737 0.839 (multiplicity 1)
O: 0.615 0.065 0.603 (multiplicity 1)
O: 0.710 0.953 0.955 (multiplicity 1)
O: 0.719 0.612 0.213 (multiplicity 1)
O: 0.830 0.844 0.325 (multiplicity 1)
O: 0.847 0.487 0.584 (multiplicity 1)
O: 0.954 0.712 0.706 (multiplicity 1)
O: 0.968 0.366 0.960 (multiplicity 1)

The 10 most intense peaks (2θ = 15–90°), in order of rising 2θ:
2θ 15.6, rel. 100.0, (1 1 0); 2θ 31.5, rel. 9.5, (2 2 0); 2θ 36.9, rel. 5.4, (0 1 3); 2θ 37.0, rel. 11.3, (-1 2 1); 2θ 38.2, rel. 6.4, (1 2 3); 2θ 42.2, rel. 14.0, (1 0 -3); 2θ 42.4, rel. 13.8, (0 3 1); 2θ 42.7, rel. 14.2, (3 1 2); 2θ 52.8, rel. 5.1, (1 4 1); 2θ 65.9, rel. 6.4, (3 -2 1)



No. 5
The following is a computed PXRD pattern of MgMn2O4. It was derived from a DFT-relaxed cell (GGA+U, the Materials Project), using copper Kα.

Cell and atoms:
abc: 15.559 2.871 9.589
angles: 90.00 126.87 90.00
Space group C2/m (No. 12)
Asymmetric unit:
Mg: 0.193 0.000 0.171 (multiplicity 4)
Mn: 0.112 0.000 0.815 (multiplicity 4)
Mn: 0.150 0.500 0.482 (multiplicity 4)
O: 0.055 0.000 0.346 (multiplicity 4)
O: 0.135 0.500 0.983 (multiplicity 4)
O: 0.143 0.500 0.718 (multiplicity 4)
O: 0.237 0.500 0.360 (multiplicity 4)

The 10 most intense peaks (2θ = 15–90°), in order of rising 2θ:
2θ 18.5, rel. 71.2, (2 0 -2); 2θ 23.2, rel. 28.4, (2 0 1); 2θ 23.7, rel. 32.0, (4 0 -2); 2θ 28.7, rel. 100.0, (4 0 0); 2θ 29.0, rel. 33.9, (4 0 -3); 2θ 34.7, rel. 33.0, (6 0 -2); 2θ 35.8, rel. 78.5, (3 1 -1); 2θ 42.5, rel. 28.9, (1 1 2); 2θ 50.0, rel. 61.1, (3 1 -4); 2θ 52.0, rel. 46.8, (3 1 2)



No. 6
The following is a computed PXRD pattern of Li3FeO3. It was derived from a DFT-relaxed cell (GGA+U, the Materials Project), using copper Kα.

Cell and atoms:
abc: 3.593 12.674 12.749
angles: 90.00 90.00 90.00
Space group Amm2 (No. 38)
Asymmetric unit:
Li: 0.000 0.000 0.000 (multiplicity 2)
Li: 0.000 0.000 0.337 (multiplicity 2)
Li: 0.000 0.228 0.539 (multiplicity 4)
Li: 0.000 0.231 0.797 (multiplicity 4)
Li: 0.500 0.128 0.396 (multiplicity 4)
Li: 0.500 0.132 0.942 (multiplicity 4)
Li: 0.500 0.171 0.666 (multiplicity 4)
Fe: 0.000 0.000 0.551 (multiplicity 2)
Fe: 0.000 0.000 0.785 (multiplicity 2)
Fe: 0.500 0.114 0.168 (multiplicity 4)
O: 0.000 0.102 0.665 (multiplicity 4)
O: 0.000 0.105 0.450 (multiplicity 4)
O: 0.000 0.108 0.886 (multiplicity 4)
O: 0.500 0.000 0.067 (multiplicity 2)
O: 0.500 0.000 0.268 (multiplicity 2)
O: 0.500 0.216 0.065 (multiplicity 4)
O: 0.500 0.216 0.272 (multiplicity 4)

The 10 most intense peaks (2θ = 15–90°), in order of rising 2θ:
2θ 22.1, rel. 20.3, (0 1 3); 2θ 22.2, rel. 19.0, (0 3 1); 2θ 26.7, rel. 100.0, (1 1 1); 2θ 28.5, rel. 33.4, (1 0 2); 2θ 40.1, rel. 41.8, (0 4 4); 2θ 40.5, rel. 12.6, (1 2 4); 2θ 48.9, rel. 11.4, (1 5 3); 2θ 50.8, rel. 14.2, (2 0 0); 2θ 57.3, rel. 25.5, (1 5 5); 2θ 66.6, rel. 14.9, (2 4 4)